Structure and simulated powder XRD pattern of Er6ZnPd5 (a structure optimized by DFT (PBE); λ = 1.5418 Å (Cu Kα)).
Peak positions follow from Bragg's law for the DFT cell and can differ from measured ones.

The 6 most intense peaks (5° ≤ 2θ ≤ 70°), in order of falling intensity:
d = 2.465 Å, I 100, (1 2 1); d = 1.423 Å, I 36, (3 2 0); d = 1.744 Å, I 12, (2 0 2); d = 3.486 Å, I 7, (1 0 1); d = 1.741 Å, I 6, (2 0 -4); d = 1.559 Å, I 3, (1 0 4)

Structure:
```
data_Er6ZnPd5
_space_group_name_H-M_alt 'P 1 2/m 1'
_space_group_IT_number 10
_space_group_name_Hall '-P 2y'
_cell_length_a 4.930
_cell_length_b 6.975
_cell_length_c 7.789
_cell_angle_alpha 90.00
_cell_angle_beta 108.34
_cell_angle_gamma 90.00
loop_
_atom_site_label
_atom_site_type_symbol
_atom_site_fract_x
_atom_site_fract_y
_atom_site_fract_z
Er1 Er 0.000 0.246 0.000
Er2 Er 0.332 0.249 0.665
Zn1 Zn 0.500 0.500 0.000
Pd1 Pd 0.163 0.500 0.327
Pd2 Pd 0.168 0.000 0.337
Pd3 Pd 0.500 0.000 0.000
```



Structure and simulated powder XRD pattern of ErZn2Pd3 (a structure optimized by DFT (PBE); λ = 1.5418 Å (Cu Kα)).
Peak positions follow from Bragg's law for the DFT cell and can differ from measured ones.

The 6 most intense peaks (5° ≤ 2θ ≤ 70°), in order of falling intensity:
d = 2.383 Å, I 100, (1 0 4); d = 2.200 Å, I 92, (1 1 0); d = 1.616 Å, I 30, (2 0 4); d = 2.057 Å, I 18, (1 0 5); d = 3.637 Å, I 11, (1 0 1); d = 3.233 Å, I 10, (1 0 2)

Structure:
```
data_ErZn2Pd3
_space_group_name_H-M_alt 'P 63/m m c'
_space_group_IT_number 194
_space_group_name_Hall '-P 6c 2c'
_cell_length_a 4.3997
_cell_length_b 4.3997
_cell_length_c 12.2183
_cell_angle_alpha 90.00
_cell_angle_beta 90.00
_cell_angle_gamma 120.00
loop_
_atom_site_label
_atom_site_type_symbol
_atom_site_fract_x
_atom_site_fract_y
_atom_site_fract_z
Er1 Er 0.0000 0.0000 0.2500
Zn1 Zn 0.3333 0.6667 0.0819
Pd1 Pd 0.0000 0.0000 0.0000
Pd2 Pd 0.3333 0.6667 0.6303
```



Structure and simulated powder XRD pattern of Er3Zn8Pd (a structure optimized by DFT (PBE); λ = 1.5418 Å (Cu Kα)).
Peak positions follow from Bragg's law for the DFT cell and can differ from measured ones.

The 6 most intense peaks (5° ≤ 2θ ≤ 70°), in order of falling intensity:
d = 2.265 Å, I 100, (1 1 6); d = 2.284 Å, I 67, (1 0 10); d = 2.643 Å, I 64, (1 1 0); d = 2.674 Å, I 62, (0 1 8); d = 2.255 Å, I 59, (2 0 2); d = 2.162 Å, I 37, (0 2 4)

Structure:
```
data_Er3Zn8Pd
_space_group_name_H-M_alt 'R 3 m'
_space_group_IT_number 160
_space_group_name_Hall 'R 3 -2"'
_cell_length_a 5.2867
_cell_length_b 5.2867
_cell_length_c 26.3528
_cell_angle_alpha 90.00
_cell_angle_beta 90.00
_cell_angle_gamma 120.00
loop_
_atom_site_label
_atom_site_type_symbol
_atom_site_fract_x
_atom_site_fract_y
_atom_site_fract_z
Er1 Er 0.0000 0.0000 0.0000
Er2 Er 0.0000 0.0000 0.1259
Er3 Er 0.0000 0.0000 0.5120
Zn1 Zn 0.0000 0.0000 0.3155
Zn2 Zn 0.0000 0.0000 0.8172
Zn3 Zn 0.0001 0.5000 0.5678
Zn4 Zn 0.1675 0.3351 0.3980
Pd1 Pd 0.0000 0.0000 0.6252
```



Structure and simulated powder XRD pattern of ErZnPd5 (a structure optimized by DFT (PBE); λ = 1.5418 Å (Cu Kα)).
Peak positions follow from Bragg's law for the DFT cell and can differ from measured ones.

The 6 most intense peaks (5° ≤ 2θ ≤ 70°), in order of falling intensity:
d = 2.251 Å, I 100, (1 1 2); d = 2.067 Å, I 43, (2 0 0); d = 2.701 Å, I 27, (1 1 1); d = 1.462 Å, I 14, (2 2 0); d = 1.553 Å, I 12, (2 0 3); d = 2.352 Å, I 11, (0 0 3)

Structure:
```
data_ErZnPd5
_space_group_name_H-M_alt 'P 4/m m m'
_space_group_IT_number 123
_space_group_name_Hall '-P 4 2'
_cell_length_a 4.134
_cell_length_b 4.134
_cell_length_c 7.056
_cell_angle_alpha 90.00
_cell_angle_beta 90.00
_cell_angle_gamma 90.00
loop_
_atom_site_label
_atom_site_type_symbol
_atom_site_fract_x
_atom_site_fract_y
_atom_site_fract_z
Er1 Er 0.000 0.000 0.000
Zn1 Zn 0.500 0.500 0.500
Pd1 Pd 0.000 0.500 0.285
Pd2 Pd 0.500 0.500 0.000
```